This entry pairs a crystal structure of Rb2LiTlF6 with its computed XRD peak list. Radiation: Cu Kα X-rays. Structure: a crystal structure in the Materials Project, relaxed with PBE.
Intensities are scaled so that the largest is 100.

Structural model:
Lattice parameters (Å, degrees): 6.146 6.146 6.146 60.00 60.00 60.00
Fractional positions:
Rb (0.250, 0.250, 0.250)
Rb (0.750, 0.750, 0.750)
Li (0.000, 0.000, 0.000)
Tl (0.500, 0.500, 0.500)
F (0.246, 0.246, 0.754)
F (0.246, 0.754, 0.246)
F (0.246, 0.754, 0.754)
F (0.754, 0.246, 0.246)
F (0.754, 0.246, 0.754)
F (0.754, 0.754, 0.246)

Principal peaks in the range 15° ≤ 2θ ≤ 90°, sorted by position:
2θ (°)	I/Imax
17.7	69
29.1	100
34.2	44
41.6	40
45.5	21
51.5	42
54.9	15
60.2	25
68.2	19
83.2	22